(1)
Starting from a crystal structure in the Materials Project, relaxed with PBE, the XRD peak list of Be2RuAu was computed for a wavelength of 1.5418 Å.
Kinematic intensities with the Lorentz-polarization factor, no thermal factor.

The 10 most intense peaks (15° ≤ 2θ ≤ 90°), in order of rising 2θ:
2theta  I (rel.)
27.10  20
31.39  100
44.98  88
53.30  10
55.88  26
65.50  14
72.25  4
74.44  34
82.99  30
89.30  4

Atomic structure:
Cell: 4.0305 4.0305 4.0305 Å, 60.00 60.00 60.00°
Fractional positions:
1 Be 0.2500 0.2500 0.2500
2 Be 0.7500 0.7500 0.7500
3 Ru 0.0000 0.0000 0.0000
4 Au 0.5000 0.5000 0.5000

(2)
Starting from a crystal structure in the Materials Project, relaxed with PBE, the XRD peak list of YBr2 was computed for a wavelength of 1.5418 Å.
Kinematic intensities with the Lorentz-polarization factor, no thermal factor.

The 10 most intense peaks (15° ≤ 2θ ≤ 90°), in order of rising 2θ:
2theta  I (rel.)
17.19  76
27.34  21
29.78  100
34.78  69
36.78  67
44.63  45
46.43  39
50.01  19
61.85  25
74.64  26

Atomic structure:
Cell: 7.2954 7.2954 3.6884 Å, 90.00 90.00 90.00°
Fractional positions:
1 Y 0.0000 0.0000 0.0000
2 Y 0.5000 0.5000 0.5000
3 Br 0.2172 0.2172 0.5000
4 Br 0.2828 0.7172 0.0000
5 Br 0.7172 0.2828 0.0000
6 Br 0.7828 0.7828 0.5000

(3)
Starting from a crystal structure in the Materials Project, relaxed with PBE, the XRD peak list of UTl was computed for a wavelength of 1.5418 Å.
Kinematic intensities with the Lorentz-polarization factor, no thermal factor.

The 10 most intense peaks (15° ≤ 2θ ≤ 90°), in order of rising 2θ:
2theta  I (rel.)
30.87  35
33.11  22
36.66  100
45.90  18
58.75  26
59.15  17
68.21  23
71.64  15
74.28  5
88.19  9

Atomic structure:
Cell: 3.1241 3.1241 5.7928 Å, 90.00 90.00 120.00°
Fractional positions:
1 U 0.0000 0.0000 0.0000
2 Tl 0.3333 0.6667 0.5000

(4)
Starting from a crystal structure in the Materials Project, relaxed with PBE, the XRD peak list of KFeNiC6N6 was computed for a wavelength of 1.5418 Å.
Kinematic intensities with the Lorentz-polarization factor, no thermal factor.

The 10 most intense peaks (15° ≤ 2θ ≤ 90°), in order of rising 2θ:
2theta  I (rel.)
17.13  100
24.32  70
34.66  52
38.91  22
42.79  17
49.83  23
53.08  10
56.20  24
64.96  9
67.73  18

Atomic structure:
Cell: 7.3201 7.3201 7.3201 Å, 60.00 60.00 60.00°
Fractional positions:
1 K 0.0000 0.0000 0.0000
2 Fe 0.2500 0.2500 0.2500
3 Ni 0.7500 0.7500 0.7500
4 C 0.0645 0.0645 0.4355
5 C 0.0645 0.4355 0.0645
6 C 0.0645 0.4355 0.4355
7 C 0.4355 0.0645 0.0645
8 C 0.4355 0.0645 0.4355
9 C 0.4355 0.4355 0.0645
10 N 0.5486 0.5486 0.9514
11 N 0.5486 0.9514 0.5486
12 N 0.5486 0.9514 0.9514
13 N 0.9514 0.5486 0.5486
14 N 0.9514 0.5486 0.9514
15 N 0.9514 0.9514 0.5486

(5)
Starting from a crystal structure in the Materials Project, relaxed with PBE, the XRD peak list of In5Ge2N6 was computed for a wavelength of 1.5418 Å.
Kinematic intensities with the Lorentz-polarization factor, no thermal factor.

The 10 most intense peaks (15° ≤ 2θ ≤ 90°), in order of rising 2θ:
2theta  I (rel.)
25.90  32
29.22  100
31.46  97
32.31  45
33.22  82
34.63  31
34.84  36
35.84  43
44.16  30
55.52  34

Atomic structure:
Cell: 6.1282 6.1282 13.1706 Å, 93.90 93.90 59.82°
Fractional positions:
1 In 0.0417 0.9583 0.7500
2 In 0.0857 0.7728 0.0492
3 In 0.2272 0.9143 0.4508
4 In 0.3288 0.3792 0.3051
5 In 0.3792 0.3288 0.8051
6 In 0.6208 0.6712 0.1949
7 In 0.6712 0.6208 0.6949
8 In 0.7728 0.0857 0.5492
9 In 0.9143 0.2272 0.9508
10 In 0.9583 0.0417 0.2500
11 Ge 0.1615 0.4477 0.5875
12 Ge 0.4477 0.1615 0.0875
13 Ge 0.5523 0.8385 0.9125
14 Ge 0.8385 0.5523 0.4125
15 N 0.0767 0.3491 0.7024
16 N 0.1938 0.2913 0.4548
17 N 0.2913 0.1938 0.9548
18 N 0.3491 0.0767 0.2024
19 N 0.4145 0.4779 0.1301
20 N 0.4779 0.4145 0.6301
21 N 0.5221 0.5855 0.3699
22 N 0.5855 0.5221 0.8699
23 N 0.6509 0.9233 0.7976
24 N 0.7087 0.8062 0.0452
25 N 0.8062 0.7087 0.5452
26 N 0.9233 0.6509 0.2976